Computed powder diffraction line list of Na2VBPO7 for Cu Kα X-rays, from a cell relaxed with GGA+U.

Peak list (10 most intense, 2θ from 10° to 90°, by intensity)
2θ/deg  I_rel
16.86  100
24.37  86
34.13  53
32.60  46
27.93  41
23.83  40
33.57  37
25.92  32
37.06  29
29.54  28

Cell and atoms:
```
24
Lattice="5.5047 0.0000 0.0000 0.0000 6.3896 0.0000 -0.5735 0.0000 9.2581" Properties=species:S:1:pos:R:3 pbc="T T T"
Na 1.1560 0.0196 2.6652
Na 1.1560 3.1752 2.6652
Na 3.7752 3.2144 6.5929
Na 3.7752 6.3700 6.5929
V 0.7290 4.7922 7.7574
V 4.2023 1.5974 1.5007
B 1.1579 4.7922 5.3915
B 3.7733 1.5974 3.8666
P 0.9635 1.5974 8.7253
P 3.9677 4.7922 0.5328
O -0.1132 4.7922 6.0543
O 0.6656 1.5974 0.7355
O 0.6190 0.3501 7.8518
O 0.6190 2.8447 7.8518
O 1.4123 4.7922 4.1131
O 2.4509 4.7922 0.2107
O 2.1163 4.7922 6.4755
O 2.8150 1.5974 2.7826
O 2.4803 1.5974 9.0474
O 3.5189 1.5974 5.1450
O 4.3123 3.5449 1.4063
O 4.3123 6.0395 1.4063
O 4.2657 4.7922 8.5226
O 5.0444 1.5974 3.2038
```